1.
Simulated powder XRD pattern
Compound: K3Li5
Radiation: a wavelength of 1.5418 Å
Structure: a crystal structure in Alexandria, relaxed with GGA-PBE

Peak list (8 most intense, 10 to 90 degrees two-theta, low angle first)
- 2θ 19.8, I 898, (0 2 0)
- 2θ 20.0, I 875, (0 0 2)
- 2θ 22.9, I 574, (2 1 1)
- 2θ 28.3, I 1000, (0 2 2)
- 2θ 29.9, I 523, (2 -1 1)
- 2θ 30.6, I 864, (2 1 3)
- 2θ 31.0, I 420, (2 3 1)
- 2θ 36.2, I 379, (2 -1 3)

Atomic structure:
a = 7.7682 Å, b = 9.6548 Å, c = 9.6905 Å
α = 81.47°, β = 66.37°, γ = 68.29°
Space group P1 (No. 1)
Asymmetric unit:
1 K 0.0000 0.0000 0.0000
2 K 0.0005 0.4781 0.5222
3 K 0.2711 0.9788 0.5001
4 K 0.5222 0.4781 0.4787
5 K 0.5215 0.9567 0.0000
6 K 0.7715 0.9775 0.5004
7 Li 0.0354 0.2956 0.1841
8 Li 0.0410 0.6605 0.8191
9 Li 0.2195 0.2962 0.8172
10 Li 0.2603 0.4783 0.0014
11 Li 0.3058 0.6600 0.1832
12 Li 0.4839 0.2964 0.1809
13 Li 0.4877 0.6594 0.8178
14 Li 0.6633 0.2969 0.8200
15 Li 0.7629 0.4783 0.0004
16 Li 0.8584 0.6611 0.1821

=====

2.
Simulated powder XRD pattern
Compound: CePuAl2
Radiation: a wavelength of 1.5418 Å
Structure: a crystal structure in Alexandria, relaxed with GGA-PBE

Peak list (8 most intense, 10 to 90 degrees two-theta, low angle first)
- 2θ 19.1, I 606, (0 0 2)
- 2θ 29.0, I 450, (1 0 0)
- 2θ 35.0, I 1000, (1 0 2)
- 2θ 41.5, I 313, (1 1 0)
- 2θ 46.1, I 263, (1 1 2)
- 2θ 49.2, I 219, (1 0 4)
- 2θ 58.1, I 235, (1 1 4)
- 2θ 71.5, I 255, (2 1 2)

Atomic structure:
a = 3.0768 Å, b = 3.0768 Å, c = 9.2862 Å
α = 90.00°, β = 90.00°, γ = 90.00°
Space group P4/mmm (No. 123)
Asymmetric unit:
1 Ce 0.0000 0.0000 0.0000
2 Pu 0.0000 0.0000 0.5000
3 Al 0.5000 0.5000 0.2543

=====

3.
Simulated powder XRD pattern
Compound: Tb4Ho4Er5
Radiation: a wavelength of 1.5418 Å
Structure: a crystal structure in Alexandria, relaxed with GGA-PBE

Peak list (8 most intense, 10 to 90 degrees two-theta, low angle first)
- 2θ 31.1, I 1000, (3 2 1)
- 2θ 36.1, I 506, (1 5 0)
- 2θ 52.0, I 359, (6 4 0)
- 2θ 61.8, I 285, (8 1 1)
- 2θ 61.9, I 142, (3 2 3)
- 2θ 64.9, I 123, (6 4 2)
- 2θ 84.9, I 179, (9 6 1)
- 2θ 87.6, I 112, (11 3 0)

Atomic structure:
a = 12.6969 Å, b = 12.6969 Å, c = 4.9697 Å
α = 90.00°, β = 90.00°, γ = 90.00°
Space group I4/m (No. 87)
Asymmetric unit:
1 Tb 0.1536 0.7697 0.0000
2 Ho 0.0770 0.3848 0.0000
3 Er 0.0000 0.0000 0.0000
4 Er 0.0382 0.1921 0.5000

=====

Q: Which formula does entry 1 have?
A: K3Li5